# 1
Theoretical powder diffraction line list
Compound: LiVZnO4
Radiation: copper Kα
Structure: a GGA+U-relaxed structure
Peak positions follow from Bragg's law for the DFT cell and can differ from measured ones.

Crystal structure
```
LiVZnO4
1.0
7.199 4.156 3.203
-7.199 4.156 3.203
0.000 -8.313 3.203
Li V Zn O
6 6 6 24
Direct
0.021 0.193 0.786
0.193 0.786 0.021
0.307 0.709 0.478
0.478 0.307 0.709
0.709 0.478 0.307
0.786 0.021 0.193
0.044 0.815 0.637
0.120 0.349 0.527
0.349 0.527 0.120
0.527 0.120 0.349
0.637 0.044 0.815
0.815 0.637 0.044
0.144 0.971 0.378
0.378 0.144 0.971
0.455 0.687 0.858
0.687 0.858 0.455
0.858 0.455 0.687
0.971 0.378 0.144
0.007 0.337 0.656
0.157 0.828 0.509
0.194 0.899 0.857
0.217 0.544 0.229
0.229 0.217 0.544
0.269 0.308 0.973
0.277 0.566 0.610
0.308 0.973 0.269
0.337 0.656 0.007
0.509 0.157 0.828
0.544 0.229 0.217
0.556 0.889 0.599
0.566 0.610 0.277
0.599 0.556 0.889
0.610 0.277 0.566
0.619 0.933 0.946
0.656 0.007 0.337
0.828 0.509 0.157
0.857 0.194 0.899
0.889 0.599 0.556
0.899 0.857 0.194
0.933 0.946 0.619
0.946 0.619 0.933
0.973 0.269 0.308
```

Most intense lines, 5 to 70 degrees two-theta, in order of rising 2θ:
12.30°, I 27
19.81°, I 33
21.00°, I 100
21.38°, I 29
24.73°, I 81
26.49°, I 21
30.55°, I 94
32.92°, I 97
37.59°, I 42
47.34°, I 46
63.36°, I 50
66.27°, I 24

---

# 2
Theoretical powder diffraction line list
Compound: Li3W8O24
Radiation: copper Kα
Structure: a GGA+U-relaxed structure
Peak positions follow from Bragg's law for the DFT cell and can differ from measured ones.

Crystal structure
```
Li3W8O24
1.0
5.343 -3.772 0.000
5.343 3.772 0.000
-0.021 0.000 10.796
Li W O
3 8 24
Direct
0.000 0.000 0.000
0.249 0.249 0.250
0.751 0.751 0.750
0.000 0.500 0.000
0.000 0.500 0.500
0.252 0.746 0.253
0.254 0.748 0.747
0.500 0.000 0.000
0.500 0.000 0.500
0.746 0.252 0.253
0.748 0.254 0.747
0.002 0.002 0.711
0.053 0.648 0.852
0.095 0.700 0.100
0.144 0.549 0.341
0.194 0.602 0.611
0.209 0.209 0.502
0.293 0.293 0.999
0.300 0.905 0.900
0.352 0.947 0.148
0.398 0.806 0.389
0.451 0.856 0.659
0.499 0.499 0.798
0.501 0.501 0.202
0.549 0.144 0.341
0.602 0.194 0.611
0.648 0.053 0.852
0.700 0.095 0.100
0.707 0.707 0.001
0.791 0.791 0.498
0.806 0.398 0.389
0.856 0.451 0.659
0.905 0.300 0.900
0.947 0.352 0.148
0.998 0.998 0.289
```

Most intense lines, 5 to 70 degrees two-theta, in order of rising 2θ:
23.43°, I 100
23.59°, I 49
33.19°, I 16
33.50°, I 76
41.13°, I 14
41.42°, I 13
53.76°, I 11
54.07°, I 20
54.31°, I 21
59.49°, I 14
59.87°, I 14
60.01°, I 14